Computed X-ray diffraction stick pattern of BeHg for Cu Ka, from a crystal structure in Alexandria, relaxed with PBE.
Intensities are scaled so that the largest is 100.

Peak list (10 most intense, 5 to 70 degrees two-theta, by angle)
2θ 15.7, I = 40
2θ 26.4, I = 52
2θ 28.9, I = 79
2θ 29.1, I = 51
2θ 31.5, I = 57
2θ 31.7, I = 80
2θ 32.6, I = 100
2θ 39.8, I = 61
2θ 44.7, I = 84
2θ 48.3, I = 59

Structure:
```
data_BeHg
_cell_length_a 12.342
_cell_length_b 2.831
_cell_length_c 6.217
_cell_angle_alpha 90.00
_cell_angle_beta 113.85
_cell_angle_gamma 90.00
_symmetry_space_group_name_H-M 'C 1 m 1'
_symmetry_Int_Tables_number 8
_symmetry_space_group_name_Hall 'C -2y'
loop_
_atom_site_label
_atom_site_type_symbol
_atom_site_fract_x
_atom_site_fract_y
_atom_site_fract_z
Be1 Be 0.000 0.000 0.000
Be2 Be 0.070 0.500 0.304
Be3 Be 0.145 0.500 0.018
Hg1 Hg 0.044 0.000 0.623
Hg2 Hg 0.275 0.000 0.473
Hg3 Hg 0.326 0.000 0.017
```